# 1
Computed PXRD pattern of PrCuPb for Cu Kα X-rays, from a structure optimized by DFT (GGA-PBE).
Intensities are scaled so that the largest is 100.

Structural model:
```
data_PrCuPb
_symmetry_space_group_name_H-M 'P 63/m m c'
_symmetry_Int_Tables_number 194
_symmetry_space_group_name_Hall '-P 6c 2c'
_cell_length_a 4.6629
_cell_length_b 4.6629
_cell_length_c 7.9848
_cell_angle_alpha 90.00
_cell_angle_beta 90.00
_cell_angle_gamma 120.00
loop_
_atom_site_label
_atom_site_fract_x
_atom_site_fract_y
_atom_site_fract_z
Pr1 0.0000 0.0000 0.0000
Cu1 0.3333 0.6667 0.2500
Pb1 0.3333 0.6667 0.7500
```

Most intense lines, 10° ≤ 2θ ≤ 90°, in order of falling intensity:
| 2θ (°) | intensity |
| --- | --- |
| 31.51 | 100.0 |
| 38.62 | 64.5 |
| 61.12 | 33.6 |
| 24.71 | 31.4 |
| 50.66 | 26.5 |
| 65.47 | 24.5 |
| 45.44 | 13.6 |
| 87.38 | 12.9 |
| 69.88 | 11.3 |
| 40.60 | 9.1 |

***

# 2
Computed PXRD pattern of TmCuPbS3 for Cu Kα X-rays, from a structure optimized by DFT (GGA-PBE).
Intensities are scaled so that the largest is 100.

Structural model:
```
data_TmCuPbS3
_symmetry_space_group_name_H-M 'C m c 21'
_symmetry_Int_Tables_number 36
_symmetry_space_group_name_Hall 'C 2c -2'
_cell_length_a 3.9216
_cell_length_b 13.1361
_cell_length_c 10.1393
_cell_angle_alpha 90.00
_cell_angle_beta 90.00
_cell_angle_gamma 90.00
loop_
_atom_site_label
_atom_site_fract_x
_atom_site_fract_y
_atom_site_fract_z
Tm1 0.0000 0.0035 0.0000
Cu1 0.0000 0.4669 0.7503
Pb1 0.0000 0.2509 0.2782
S1 0.0000 0.0726 0.7480
S2 0.0000 0.3639 0.5617
S3 0.0000 0.3648 0.9368
```

Most intense lines, 10° ≤ 2θ ≤ 90°, in order of falling intensity:
| 2θ (°) | intensity |
| --- | --- |
| 22.15 | 100.0 |
| 31.88 | 92.2 |
| 35.44 | 92.0 |
| 45.15 | 62.4 |
| 27.15 | 47.4 |
| 25.28 | 45.5 |
| 29.59 | 39.9 |
| 66.66 | 39.5 |
| 35.73 | 38.9 |
| 40.83 | 30.5 |

***

# 3
Computed PXRD pattern of TbCuPbSe3 for Cu Kα X-rays, from a structure optimized by DFT (GGA-PBE).
Intensities are scaled so that the largest is 100.

Structural model:
```
data_TbCuPbSe3
_symmetry_space_group_name_H-M 'P n m a'
_symmetry_Int_Tables_number 62
_symmetry_space_group_name_Hall '-P 2ac 2n'
_cell_length_a 10.6791
_cell_length_b 4.0697
_cell_length_c 13.6401
_cell_angle_alpha 90.00
_cell_angle_beta 90.00
_cell_angle_gamma 90.00
loop_
_atom_site_label
_atom_site_fract_x
_atom_site_fract_y
_atom_site_fract_z
Tb1 0.0137 0.2500 0.2417
Cu1 0.2418 0.2500 0.7194
Pb1 0.2249 0.7500 0.5041
Se1 0.0516 0.2500 0.6144
Se2 0.0833 0.7500 0.1043
Se3 0.2398 0.7500 0.8284
```

Most intense lines, 10° ≤ 2θ ≤ 90°, in order of falling intensity:
| 2θ (°) | intensity |
| --- | --- |
| 30.64 | 100.0 |
| 34.00 | 55.6 |
| 21.13 | 45.8 |
| 34.10 | 34.2 |
| 44.52 | 32.2 |
| 43.25 | 29.5 |
| 33.57 | 29.3 |
| 39.02 | 22.5 |
| 29.46 | 22.4 |
| 28.30 | 21.2 |

***

# 4
Computed PXRD pattern of TlCu3PbSe4 for Cu Kα X-rays, from a structure optimized by DFT (GGA-PBE).
Intensities are scaled so that the largest is 100.

Structural model:
```
data_TlCu3PbSe4
_symmetry_space_group_name_H-M 'P -4 3 m'
_symmetry_Int_Tables_number 215
_symmetry_space_group_name_Hall 'P -4 2 3'
_cell_length_a 6.2327
_cell_length_b 6.2327
_cell_length_c 6.2327
_cell_angle_alpha 90.00
_cell_angle_beta 90.00
_cell_angle_gamma 90.00
loop_
_atom_site_label
_atom_site_fract_x
_atom_site_fract_y
_atom_site_fract_z
Tl1 0.0000 0.0000 0.0000
Cu1 0.0000 0.0000 0.5000
Pb1 0.5000 0.5000 0.5000
Se1 0.2446 0.2446 0.2446
```

Most intense lines, 10° ≤ 2θ ≤ 90°, in order of falling intensity:
| 2θ (°) | intensity |
| --- | --- |
| 40.96 | 100.0 |
| 20.15 | 77.6 |
| 24.74 | 43.6 |
| 35.27 | 39.4 |
| 74.59 | 33.3 |
| 55.14 | 23.1 |
| 48.44 | 20.4 |
| 46.05 | 19.0 |
| 59.31 | 16.5 |
| 78.20 | 13.1 |

***

# 5
Computed PXRD pattern of TmCuPbSe3 for Cu Kα X-rays, from a structure optimized by DFT (GGA-PBE).
Intensities are scaled so that the largest is 100.

Structural model:
```
data_TmCuPbSe3
_symmetry_space_group_name_H-M 'P n m a'
_symmetry_Int_Tables_number 62
_symmetry_space_group_name_Hall '-P 2ac 2n'
_cell_length_a 10.5393
_cell_length_b 4.0481
_cell_length_c 13.6554
_cell_angle_alpha 90.00
_cell_angle_beta 90.00
_cell_angle_gamma 90.00
loop_
_atom_site_label
_atom_site_fract_x
_atom_site_fract_y
_atom_site_fract_z
Tm1 0.0069 0.2500 0.2443
Cu1 0.2480 0.2500 0.7197
Pb1 0.2315 0.7500 0.5047
Se1 0.0553 0.2500 0.6141
Se2 0.0701 0.7500 0.1085
Se3 0.2454 0.7500 0.8283
```

Most intense lines, 10° ≤ 2θ ≤ 90°, in order of falling intensity:
| 2θ (°) | intensity |
| --- | --- |
| 30.75 | 100.0 |
| 34.18 | 65.6 |
| 21.30 | 55.0 |
| 43.33 | 54.3 |
| 34.43 | 37.6 |
| 34.03 | 37.3 |
| 64.07 | 34.4 |
| 44.78 | 32.7 |
| 43.50 | 26.0 |
| 29.53 | 24.5 |

***

# 6
Computed PXRD pattern of TmCuPbSe3 for Cu Kα X-rays, from a structure optimized by DFT (GGA-PBE).
Intensities are scaled so that the largest is 100.

Structural model:
```
data_TmCuPbSe3
_symmetry_space_group_name_H-M 'C m c 21'
_symmetry_Int_Tables_number 36
_symmetry_space_group_name_Hall 'C 2c -2'
_cell_length_a 4.0470
_cell_length_b 13.5946
_cell_length_c 10.5478
_cell_angle_alpha 90.00
_cell_angle_beta 90.00
_cell_angle_gamma 90.00
loop_
_atom_site_label
_atom_site_fract_x
_atom_site_fract_y
_atom_site_fract_z
Tm1 0.0000 0.0008 0.0000
Cu1 0.0000 0.4661 0.2522
Pb1 0.0000 0.2428 0.7409
Se1 0.0000 0.0764 0.2504
Se2 0.0000 0.3583 0.4407
Se3 0.0000 0.3587 0.0656
```

Most intense lines, 10° ≤ 2θ ≤ 90°, in order of falling intensity:
| 2θ (°) | intensity |
| --- | --- |
| 30.81 | 100.0 |
| 34.23 | 71.4 |
| 43.46 | 61.4 |
| 21.32 | 55.7 |
| 34.43 | 42.8 |
| 34.00 | 42.0 |
| 64.18 | 38.9 |
| 52.97 | 36.8 |
| 44.79 | 33.6 |
| 39.34 | 27.6 |

***

# 7
Computed PXRD pattern of YCu3PbSe4 for Cu Kα X-rays, from a structure optimized by DFT (GGA-PBE).
Intensities are scaled so that the largest is 100.

Structural model:
```
data_YCu3PbSe4
_symmetry_space_group_name_H-M 'P -4 3 m'
_symmetry_Int_Tables_number 215
_symmetry_space_group_name_Hall 'P -4 2 3'
_cell_length_a 6.2817
_cell_length_b 6.2817
_cell_length_c 6.2817
_cell_angle_alpha 90.00
_cell_angle_beta 90.00
_cell_angle_gamma 90.00
loop_
_atom_site_label
_atom_site_fract_x
_atom_site_fract_y
_atom_site_fract_z
Y1 0.0000 0.0000 0.0000
Cu1 0.0000 0.0000 0.5000
Pb1 0.5000 0.5000 0.5000
Se1 0.2385 0.2385 0.2385
```

Most intense lines, 10° ≤ 2θ ≤ 90°, in order of falling intensity:
| 2θ (°) | intensity |
| --- | --- |
| 40.62 | 100.0 |
| 24.55 | 77.6 |
| 19.99 | 47.3 |
| 48.04 | 36.9 |
| 73.92 | 32.0 |
| 34.99 | 23.9 |
| 58.80 | 16.2 |
| 54.67 | 14.5 |
| 64.68 | 14.5 |
| 45.67 | 10.8 |

***

# 8
Computed PXRD pattern of SmCuPb for Cu Kα X-rays, from a structure optimized by DFT (GGA-PBE).
Intensities are scaled so that the largest is 100.

Structural model:
```
data_SmCuPb
_symmetry_space_group_name_H-M 'P 63/m m c'
_symmetry_Int_Tables_number 194
_symmetry_space_group_name_Hall '-P 6c 2c'
_cell_length_a 4.6188
_cell_length_b 4.6188
_cell_length_c 7.7132
_cell_angle_alpha 90.00
_cell_angle_beta 90.00
_cell_angle_gamma 120.00
loop_
_atom_site_label
_atom_site_fract_x
_atom_site_fract_y
_atom_site_fract_z
Sm1 0.0000 0.0000 0.0000
Cu1 0.3333 0.6667 0.2500
Pb1 0.3333 0.6667 0.7500
```

Most intense lines, 10° ≤ 2θ ≤ 90°, in order of falling intensity:
| 2θ (°) | intensity |
| --- | --- |
| 32.24 | 100.0 |
| 39.00 | 65.5 |
| 62.78 | 32.4 |
| 25.08 | 30.5 |
| 51.47 | 26.9 |
| 66.42 | 25.0 |
| 89.33 | 12.9 |
| 47.13 | 12.7 |
| 70.65 | 11.4 |
| 41.76 | 8.5 |

***

# 9
Computed PXRD pattern of SmCuPb for Cu Kα X-rays, from a structure optimized by DFT (GGA-PBE).
Intensities are scaled so that the largest is 100.

Structural model:
```
data_SmCuPb
_symmetry_space_group_name_H-M 'P 63 m c'
_symmetry_Int_Tables_number 186
_symmetry_space_group_name_Hall 'P 6c -2c'
_cell_length_a 4.6686
_cell_length_b 4.6686
_cell_length_c 7.5354
_cell_angle_alpha 90.00
_cell_angle_beta 90.00
_cell_angle_gamma 120.00
loop_
_atom_site_label
_atom_site_fract_x
_atom_site_fract_y
_atom_site_fract_z
Sm1 0.0000 0.0000 0.0000
Cu1 0.3333 0.6667 0.1798
Pb1 0.3333 0.6667 0.7693
```

Most intense lines, 10° ≤ 2θ ≤ 90°, in order of falling intensity:
| 2θ (°) | intensity |
| --- | --- |
| 32.48 | 100.0 |
| 38.57 | 77.1 |
| 24.99 | 43.8 |
| 51.29 | 27.8 |
| 65.97 | 26.2 |
| 42.36 | 25.0 |
| 63.45 | 20.8 |
| 69.78 | 13.5 |
| 72.39 | 10.5 |
| 66.17 | 9.7 |

***

# 10
Computed PXRD pattern of Sm5CuPb3 for Cu Kα X-rays, from a structure optimized by DFT (GGA-PBE).
Intensities are scaled so that the largest is 100.

Structural model:
```
data_Sm5CuPb3
_symmetry_space_group_name_H-M 'P 63/m c m'
_symmetry_Int_Tables_number 193
_symmetry_space_group_name_Hall '-P 6c 2'
_cell_length_a 9.5557
_cell_length_b 9.5557
_cell_length_c 6.9207
_cell_angle_alpha 90.00
_cell_angle_beta 90.00
_cell_angle_gamma 120.00
loop_
_atom_site_label
_atom_site_fract_x
_atom_site_fract_y
_atom_site_fract_z
Sm1 0.0000 0.2530 0.2500
Sm2 0.3333 0.6667 0.0000
Cu1 0.0000 0.0000 0.0000
Pb1 0.0000 0.3882 0.7500
```

Most intense lines, 10° ≤ 2θ ≤ 90°, in order of falling intensity:
| 2θ (°) | intensity |
| --- | --- |
| 31.93 | 100.0 |
| 31.38 | 94.2 |
| 32.46 | 67.0 |
| 49.07 | 27.5 |
| 63.46 | 25.1 |
| 46.18 | 23.3 |
| 41.45 | 23.0 |
| 25.75 | 21.3 |
| 62.17 | 14.9 |
| 87.12 | 13.1 |

***

# 11
Computed PXRD pattern of TbCuPb for Cu Kα X-rays, from a structure optimized by DFT (GGA-PBE).
Intensities are scaled so that the largest is 100.

Structural model:
```
data_TbCuPb
_symmetry_space_group_name_H-M 'P 63 m c'
_symmetry_Int_Tables_number 186
_symmetry_space_group_name_Hall 'P 6c -2c'
_cell_length_a 4.6205
_cell_length_b 4.6205
_cell_length_c 7.4346
_cell_angle_alpha 90.00
_cell_angle_beta 90.00
_cell_angle_gamma 120.00
loop_
_atom_site_label
_atom_site_fract_x
_atom_site_fract_y
_atom_site_fract_z
Tb1 0.0000 0.0000 0.0000
Cu1 0.3333 0.6667 0.1747
Pb1 0.3333 0.6667 0.7701
```

Most intense lines, 10° ≤ 2θ ≤ 90°, in order of falling intensity:
| 2θ (°) | intensity |
| --- | --- |
| 32.89 | 100.0 |
| 38.99 | 76.9 |
| 25.28 | 43.3 |
| 51.90 | 27.8 |
| 66.78 | 26.1 |
| 42.93 | 25.3 |
| 64.33 | 19.6 |
| 70.62 | 13.4 |
| 73.33 | 10.6 |
| 59.37 | 9.8 |

***

# 12
Computed PXRD pattern of Tb5CuPb3 for Cu Kα X-rays, from a structure optimized by DFT (GGA-PBE).
Intensities are scaled so that the largest is 100.

Structural model:
```
data_Tb5CuPb3
_symmetry_space_group_name_H-M 'P 63/m c m'
_symmetry_Int_Tables_number 193
_symmetry_space_group_name_Hall '-P 6c 2'
_cell_length_a 9.2321
_cell_length_b 9.2321
_cell_length_c 6.6837
_cell_angle_alpha 90.00
_cell_angle_beta 90.00
_cell_angle_gamma 120.00
loop_
_atom_site_label
_atom_site_fract_x
_atom_site_fract_y
_atom_site_fract_z
Tb1 0.0000 0.2539 0.2500
Tb2 0.3333 0.6667 0.0000
Cu1 0.0000 0.0000 0.0000
Pb1 0.0000 0.3910 0.7500
```

Most intense lines, 10° ≤ 2θ ≤ 90°, in order of falling intensity:
| 2θ (°) | intensity |
| --- | --- |
| 33.09 | 100.0 |
| 32.52 | 96.0 |
| 33.63 | 64.8 |
| 50.92 | 27.6 |
| 42.97 | 24.0 |
| 65.98 | 23.8 |
| 47.90 | 22.0 |
| 26.67 | 20.7 |
| 64.61 | 14.4 |
| 29.56 | 13.3 |